Calculated XRD peak list
Compound: Rb6CdHg
Radiation: CuKα
Structure: a GGA-PBE-relaxed structure
Kinematic intensities with the Lorentz-polarization factor, no thermal factor.

Structural model:
```
8
Lattice="4.953 0.000 0.000 0.000 7.092 7.843 0.000 -7.092 7.843" Properties=species:S:1:pos:R:3 pbc="T T T"
Rb 0.000 0.000 0.000
Rb 0.000 -2.280 11.177
Rb 0.000 2.280 11.177
Rb 2.476 -3.048 7.294
Rb 2.476 0.000 4.194
Rb 2.476 3.048 7.294
Cd 0.000 0.000 7.610
Hg 2.476 0.000 9.395
```

Top 8 peaks for 15° ≤ 2θ ≤ 90°, low angle first:
| 2theta | I (rel.) |
| --- | --- |
| 24.69 | 100 |
| 25.40 | 33 |
| 25.56 | 42 |
| 31.25 | 30 |
| 31.72 | 34 |
| 36.28 | 24 |
| 41.06 | 22 |
| 48.58 | 23 |